This entry pairs a crystal structure of TmMnIn4O8 with its computed powder diffraction line list. Radiation: λ = 1.5418 Å (Cu Kα). Structure: a crystal structure in Alexandria, relaxed with GGA+U.
Neutral-atom scattering factors, no anomalous dispersion.

Peak list (10 most intense, 5 to 70 degrees two-theta, in order of falling intensity)
two_theta  I (rel.)
31.9  100.0
31.7  40.2
16.5  37.0
33.4  32.3
38.6  31.4
55.6  30.1
56.0  29.6
50.9  23.8
51.0  20.6
27.1  18.5

abc: 6.5706 6.5706 16.2529
angles: 90.00 90.00 120.00
Space group R3m (No. 160, hexagonal axes)
Inequivalent atoms, fractional coordinates:
Tm  0.0000  0.0000  0.0000 [3 per cell]
Mn  0.0000  0.0000  0.6257 [3 per cell]
In  0.0000  0.0000  0.3762 [3 per cell]
In  0.0026  0.5013  0.5020 [9 per cell]
O  0.0000  0.0000  0.2397 [3 per cell]
O  0.0000  0.0000  0.7617 [3 per cell]
O  0.0258  0.5129  0.7557 [9 per cell]
O  0.1779  0.3559  0.5822 [9 per cell]